Entry 1:
Structure and computed powder diffractogram of Ti2Al2Re (a structure optimized by DFT (PBE); λ = 1.5418 Å (Cu Kα)).
Kinematic intensities with the Lorentz-polarization factor, no thermal factor.

Peak list (10 most intense, 2θ from 5° to 70°, most intense first)
| Position (°2θ) | d [Å] | I_rel |
| --- | --- | --- |
| 37.34 | 2.409 | 100 |
| 18.64 | 4.760 | 95 |
| 32.05 | 2.792 | 90 |
| 42.46 | 2.129 | 85 |
| 50.38 | 1.811 | 46 |
| 37.80 | 2.380 | 41 |
| 39.75 | 2.268 | 36 |
| 26.48 | 3.366 | 35 |
| 46.35 | 1.959 | 24 |
| 25.84 | 3.448 | 24 |

a b c (Å): 6.7324 6.7324 3.4477
angles (deg): 90.00 90.00 90.00
Element x y z (fractional)
1 Ti 0.1724 0.3276 0.0000
2 Ti 0.3276 0.8276 0.0000
3 Ti 0.6724 0.1724 0.0000
4 Ti 0.8276 0.6724 0.0000
5 Al 0.1314 0.6314 0.5000
6 Al 0.3686 0.1314 0.5000
7 Al 0.6314 0.8686 0.5000
8 Al 0.8686 0.3686 0.5000
9 Re 0.0000 0.0000 0.5000
10 Re 0.5000 0.5000 0.5000

Entry 2:
Structure and computed powder diffractogram of Sr3Ac2Pb4 (a structure optimized by DFT (PBE); λ = 1.5418 Å (Cu Kα)).
Kinematic intensities with the Lorentz-polarization factor, no thermal factor.

Peak list (10 most intense, 2θ from 5° to 70°, most intense first)
| Position (°2θ) | d [Å] | I_rel |
| --- | --- | --- |
| 28.48 | 3.134 | 100 |
| 28.22 | 3.162 | 90 |
| 33.20 | 2.698 | 78 |
| 31.37 | 2.851 | 76 |
| 27.26 | 3.272 | 69 |
| 29.03 | 3.076 | 52 |
| 25.88 | 3.443 | 50 |
| 28.35 | 3.148 | 50 |
| 19.53 | 4.546 | 48 |
| 32.48 | 2.756 | 42 |

a b c (Å): 9.0591 9.1340 8.4770
angles (deg): 90.00 106.45 90.00
Element x y z (fractional)
1 Sr 0.0000 0.0000 0.0000
2 Sr 0.0000 0.5000 0.5000
3 Sr 0.2557 0.1705 0.7480
4 Sr 0.2557 0.3295 0.2480
5 Sr 0.7443 0.6705 0.7520
6 Sr 0.7443 0.8295 0.2520
7 Ac 0.3077 0.6905 0.9272
8 Ac 0.3077 0.8095 0.4272
9 Ac 0.6923 0.1905 0.5728
10 Ac 0.6923 0.3095 0.0728
11 Pb 0.0129 0.6275 0.1277
12 Pb 0.0129 0.8725 0.6277
13 Pb 0.4200 0.0329 0.1446
14 Pb 0.4200 0.4671 0.6446
15 Pb 0.5800 0.5329 0.3554
16 Pb 0.5800 0.9671 0.8554
17 Pb 0.9871 0.1275 0.3723
18 Pb 0.9871 0.3725 0.8723

Entry 3:
Structure and computed powder diffractogram of AlGaPt4 (a structure optimized by DFT (PBE); λ = 1.5418 Å (Cu Kα)).
Kinematic intensities with the Lorentz-polarization factor, no thermal factor.

Peak list (10 most intense, 2θ from 5° to 70°, most intense first)
| Position (°2θ) | d [Å] | I_rel |
| --- | --- | --- |
| 39.67 | 2.272 | 100 |
| 43.47 | 2.082 | 20 |
| 46.52 | 1.952 | 18 |
| 26.69 | 3.340 | 17 |
| 65.56 | 1.424 | 12 |
| 31.41 | 2.848 | 12 |
| 38.63 | 2.331 | 11 |
| 48.30 | 1.884 | 11 |
| 44.71 | 2.027 | 9 |
| 23.61 | 3.769 | 8 |

a b c (Å): 6.5434 6.5434 7.5377
angles (deg): 90.00 90.00 145.29
Element x y z (fractional)
1 Al 0.1954 0.8046 0.7500
2 Al 0.8046 0.1954 0.2500
3 Ga 0.4894 0.5106 0.7500
4 Ga 0.5106 0.4894 0.2500
5 Pt 0.0000 0.0000 0.0000
6 Pt 0.0000 0.0000 0.5000
7 Pt 0.1568 0.8432 0.2500
8 Pt 0.3372 0.6628 0.0349
9 Pt 0.3372 0.6628 0.4651
10 Pt 0.6628 0.3372 0.5349
11 Pt 0.6628 0.3372 0.9651
12 Pt 0.8432 0.1568 0.7500

Entry 4:
Structure and computed powder diffractogram of La3Te4 (a structure optimized by DFT (PBE); λ = 1.5418 Å (Cu Kα)).
Kinematic intensities with the Lorentz-polarization factor, no thermal factor.

Peak list (10 most intense, 2θ from 5° to 70°, most intense first)
| Position (°2θ) | d [Å] | I_rel |
| --- | --- | --- |
| 29.17 | 3.061 | 100 |
| 34.67 | 2.587 | 73 |
| 58.81 | 1.570 | 29 |
| 47.92 | 1.898 | 17 |
| 45.93 | 1.976 | 16 |
| 41.73 | 2.164 | 16 |
| 62.15 | 1.494 | 15 |
| 60.49 | 1.530 | 12 |
| 43.87 | 2.064 | 11 |
| 22.50 | 3.952 | 7 |

a b c (Å): 8.3828 8.3828 8.3828
angles (deg): 109.47 109.47 109.47
Element x y z (fractional)
1 La 0.1250 0.7500 0.8750
2 La 0.2500 0.6250 0.3750
3 La 0.3750 0.2500 0.6250
4 La 0.6250 0.3750 0.2500
5 La 0.7500 0.8750 0.1250
6 La 0.8750 0.1250 0.7500
7 Te 0.0000 0.3476 0.5000
8 Te 0.0000 0.8476 0.5000
9 Te 0.1524 0.1524 0.1524
10 Te 0.3476 0.5000 0.0000
11 Te 0.5000 0.0000 0.3476
12 Te 0.5000 0.0000 0.8476
13 Te 0.6524 0.6524 0.6524
14 Te 0.8476 0.5000 0.0000

Entry 5:
Structure and computed powder diffractogram of SmGa4Pd2Pt (a structure optimized by DFT (PBE); λ = 1.5418 Å (Cu Kα)).
Kinematic intensities with the Lorentz-polarization factor, no thermal factor.

Peak list (10 most intense, 2θ from 5° to 70°, most intense first)
| Position (°2θ) | d [Å] | I_rel |
| --- | --- | --- |
| 36.27 | 2.477 | 100 |
| 41.86 | 2.158 | 98 |
| 27.41 | 3.254 | 32 |
| 56.57 | 1.627 | 27 |
| 10.03 | 8.819 | 26 |
| 44.81 | 2.023 | 17 |
| 59.99 | 1.542 | 15 |
| 24.76 | 3.596 | 12 |
| 61.30 | 1.512 | 10 |
| 40.93 | 2.205 | 8 |

a b c (Å): 9.1642 9.1642 9.1642
angles (deg): 27.24 27.24 27.24
Element x y z (fractional)
1 Sm 0.0000 0.0000 0.0000
2 Ga 0.1315 0.1315 0.1315
3 Ga 0.3985 0.3985 0.3985
4 Ga 0.6015 0.6015 0.6015
5 Ga 0.8685 0.8685 0.8685
6 Pd 0.2413 0.2413 0.2413
7 Pd 0.7587 0.7587 0.7587
8 Pt 0.5000 0.5000 0.5000

Entry 6:
Structure and computed powder diffractogram of Li5Sn3Pb3 (a structure optimized by DFT (PBE); λ = 1.5418 Å (Cu Kα)).
Kinematic intensities with the Lorentz-polarization factor, no thermal factor.

Peak list (10 most intense, 2θ from 5° to 70°, most intense first)
| Position (°2θ) | d [Å] | I_rel |
| --- | --- | --- |
| 25.19 | 3.536 | 100 |
| 26.25 | 3.395 | 96 |
| 25.83 | 3.450 | 94 |
| 36.70 | 2.449 | 85 |
| 45.29 | 2.002 | 43 |
| 36.36 | 2.471 | 42 |
| 37.00 | 2.429 | 42 |
| 36.41 | 2.468 | 41 |
| 37.31 | 2.410 | 40 |
| 45.55 | 1.991 | 39 |

a b c (Å): 4.9052 6.8994 8.3679
angles (deg): 113.90 104.80 90.26
Element x y z (fractional)
1 Li 0.0000 0.0000 0.0000
2 Li 0.0114 0.5259 0.0296
3 Li 0.3521 0.8267 0.6716
4 Li 0.6939 0.1696 0.3133
5 Li 0.7054 0.6686 0.3418
6 Sn 0.2073 0.4171 0.3444
7 Sn 0.5043 0.7469 0.0010
8 Sn 0.8530 0.0927 0.6706
9 Pb 0.2143 0.9554 0.3621
10 Pb 0.4839 0.2651 0.9773
11 Pb 0.8501 0.5582 0.6711